[1]
Diffraction record for LiErPd4. The X-ray diffraction stick pattern is theoretical, not measured: it uses a cell relaxed with PBE and Cu Kα (λ = 1.5418 Å).
Neutral-atom scattering factors, no anomalous dispersion.

Cell and atoms:
```
LiErPd4
1.0
4.600 -1.978 0.000
4.600 1.978 0.000
-1.963 0.000 5.460
Li Er Pd
1 1 4
direct
0.000 0.000 0.000
0.000 0.000 0.500
0.331 0.331 0.163
0.339 0.339 0.685
0.661 0.661 0.315
0.669 0.669 0.837
```

Largest 10 diffraction maxima, sorted by position, 2θ = 10–90°:
2θ = 16.2°, rel. 206
2θ = 27.7°, rel. 207
2θ = 38.5°, rel. 1000
2θ = 38.6°, rel. 999
2θ = 43.7°, rel. 360
2θ = 44.8°, rel. 316
2θ = 45.9°, rel. 306
2θ = 65.2°, rel. 210
2θ = 66.1°, rel. 196
2θ = 79.9°, rel. 233

---

[2]
Diffraction record for KNpI4. The X-ray diffraction stick pattern is theoretical, not measured: it uses a cell relaxed with PBE and Cu Kα (λ = 1.5418 Å).
Neutral-atom scattering factors, no anomalous dispersion.

Cell and atoms:
```
KNpI4
1.0
10.332 -2.354 0.000
10.332 2.354 0.000
-8.141 0.000 12.534
K Np I
2 2 8
direct
0.233 0.767 0.750
0.767 0.233 0.250
0.000 0.500 0.000
0.500 0.000 0.500
0.047 0.547 0.666
0.180 0.646 0.042
0.354 0.820 0.458
0.453 0.953 0.834
0.547 0.047 0.166
0.646 0.180 0.542
0.820 0.354 0.958
0.953 0.453 0.334
```

Largest 10 diffraction maxima, sorted by position, 2θ = 10–90°:
2θ = 10.2°, rel. 601
2θ = 12.1°, rel. 505
2θ = 14.1°, rel. 300
2θ = 21.7°, rel. 234
2θ = 26.0°, rel. 477
2θ = 26.8°, rel. 1000
2θ = 35.9°, rel. 408
2θ = 38.4°, rel. 263
2θ = 39.5°, rel. 350
2θ = 46.8°, rel. 204

---

[3]
Diffraction record for CsAl2HgBr8. The X-ray diffraction stick pattern is theoretical, not measured: it uses a cell relaxed with PBE and Cu Kα (λ = 1.5418 Å).
Neutral-atom scattering factors, no anomalous dispersion.

Cell and atoms:
```
CsAl2HgBr8
1.0
3.560 2.055 10.376
-3.560 2.055 10.376
0.000 -4.111 10.376
Cs Al Hg Br
1 2 1 8
direct
0.000 0.000 0.000
0.252 0.252 0.252
0.748 0.748 0.748
0.500 0.500 0.500
0.069 0.448 0.799
0.201 0.931 0.552
0.326 0.326 0.326
0.448 0.799 0.069
0.552 0.201 0.931
0.674 0.674 0.674
0.799 0.069 0.448
0.931 0.552 0.201
```

Largest 10 diffraction maxima, sorted by position, 2θ = 10–90°:
2θ = 18.4°, rel. 456
2θ = 25.0°, rel. 180
2θ = 25.8°, rel. 176
2θ = 26.5°, rel. 578
2θ = 27.1°, rel. 145
2θ = 30.5°, rel. 1000
2θ = 43.1°, rel. 401
2θ = 44.1°, rel. 387
2θ = 54.5°, rel. 169
2θ = 72.6°, rel. 134